No. 1
Simulated powder diffractogram of Ca3Al5Au6 for a wavelength of 1.5418 Å, from the GGA-PBE geometry in Alexandria.
Neutral-atom scattering factors, no anomalous dispersion.

Main lines, in order of falling intensity (5 to 70 degrees two-theta):
2.620 Å, I = 100
3.007 Å, I = 89
2.033 Å, I = 70
2.238 Å, I = 62
2.381 Å, I = 55
3.863 Å, I = 53
4.638 Å, I = 51
2.314 Å, I = 45
3.232 Å, I = 40
2.253 Å, I = 38

Cell and atoms:
Unit cell a=4.476 b=13.520 c=9.275 alpha=90.00 beta=90.00 gamma=90.00
Atoms (fractional coordinates):
Ca (0.250, 0.051, 0.244)
Ca (0.250, 0.449, 0.244)
Ca (0.250, 0.750, 0.266)
Ca (0.750, 0.250, 0.734)
Ca (0.750, 0.551, 0.756)
Ca (0.750, 0.949, 0.756)
Al (0.250, 0.079, 0.593)
Al (0.250, 0.421, 0.593)
Al (0.250, 0.617, 0.979)
Al (0.250, 0.750, 0.748)
Al (0.250, 0.883, 0.979)
Al (0.750, 0.117, 0.021)
Al (0.750, 0.250, 0.252)
Al (0.750, 0.383, 0.021)
Al (0.750, 0.579, 0.407)
Al (0.750, 0.921, 0.407)
Au (0.250, 0.083, 0.872)
Au (0.250, 0.250, 0.072)
Au (0.250, 0.250, 0.440)
Au (0.250, 0.417, 0.872)
Au (0.250, 0.613, 0.537)
Au (0.250, 0.887, 0.537)
Au (0.750, 0.113, 0.463)
Au (0.750, 0.387, 0.463)
Au (0.750, 0.583, 0.128)
Au (0.750, 0.750, 0.560)
Au (0.750, 0.750, 0.928)
Au (0.750, 0.917, 0.128)

No. 2
Simulated powder diffractogram of La2Y4Tm3 for a wavelength of 1.5418 Å, from the GGA-PBE geometry in Alexandria.
Neutral-atom scattering factors, no anomalous dispersion.

Main lines, in order of falling intensity (5 to 70 degrees two-theta):
2.887 Å, I = 100
2.768 Å, I = 51
2.593 Å, I = 40
8.018 Å, I = 32
2.740 Å, I = 30
3.367 Å, I = 20
1.618 Å, I = 17
1.683 Å, I = 16
1.712 Å, I = 16
1.913 Å, I = 13

Cell and atoms:
Unit cell a=10.136 b=8.580 c=6.912 alpha=80.95 beta=56.72 gamma=42.33
Atoms (fractional coordinates):
La (0.113, 0.113, 0.887)
La (0.887, 0.887, 0.113)
Y (0.168, 0.457, 0.543)
Y (0.457, 0.168, 0.832)
Y (0.543, 0.832, 0.168)
Y (0.832, 0.543, 0.457)
Tm (0.000, 0.000, 0.500)
Tm (0.500, 0.500, 0.000)
Tm (0.500, 0.500, 0.500)

No. 3
Simulated powder diffractogram of PrSnSb3 for a wavelength of 1.5418 Å, from the GGA-PBE geometry in Alexandria.
Neutral-atom scattering factors, no anomalous dispersion.

Main lines, in order of falling intensity (5 to 70 degrees two-theta):
2.913 Å, I = 100
2.864 Å, I = 100
2.622 Å, I = 90
2.958 Å, I = 71
2.693 Å, I = 66
2.672 Å, I = 63
2.245 Å, I = 57
2.472 Å, I = 45
2.444 Å, I = 41
3.296 Å, I = 34

Cell and atoms:
Unit cell a=14.566 b=6.231 c=6.474 alpha=90.00 beta=90.00 gamma=90.00
Atoms (fractional coordinates):
Pr (0.171, 0.001, 0.250)
Pr (0.171, 0.499, 0.750)
Pr (0.829, 0.501, 0.250)
Pr (0.829, 0.999, 0.750)
Sn (0.389, 0.250, 0.000)
Sn (0.389, 0.250, 0.500)
Sn (0.611, 0.750, 0.000)
Sn (0.611, 0.750, 0.500)
Sb (0.001, 0.250, 0.000)
Sb (0.001, 0.250, 0.500)
Sb (0.230, 0.506, 0.250)
Sb (0.230, 0.994, 0.750)
Sb (0.400, 0.712, 0.750)
Sb (0.400, 0.788, 0.250)
Sb (0.600, 0.212, 0.750)
Sb (0.600, 0.288, 0.250)
Sb (0.770, 0.006, 0.250)
Sb (0.770, 0.494, 0.750)
Sb (0.999, 0.750, 0.000)
Sb (0.999, 0.750, 0.500)

No. 4
Simulated powder diffractogram of LaGdInGa for a wavelength of 1.5418 Å, from the GGA-PBE geometry in Alexandria.
Neutral-atom scattering factors, no anomalous dispersion.

Main lines, in order of falling intensity (5 to 70 degrees two-theta):
2.683 Å, I = 100
1.549 Å, I = 37
1.897 Å, I = 18
3.794 Å, I = 5
1.697 Å, I = 2
4.381 Å, I = 2
2.191 Å, I = 2
2.288 Å, I = 1
1.741 Å, I = 1

Cell and atoms:
Unit cell a=7.589 b=7.589 c=7.589 alpha=90.00 beta=90.00 gamma=90.00
Atoms (fractional coordinates):
La (0.000, 0.000, 0.000)
La (0.000, 0.500, 0.500)
La (0.500, 0.000, 0.500)
La (0.500, 0.500, 0.000)
Gd (0.000, 0.000, 0.500)
Gd (0.000, 0.500, 0.000)
Gd (0.500, 0.000, 0.000)
Gd (0.500, 0.500, 0.500)
In (0.250, 0.250, 0.750)
In (0.250, 0.750, 0.250)
In (0.750, 0.250, 0.250)
In (0.750, 0.750, 0.750)
Ga (0.250, 0.250, 0.250)
Ga (0.250, 0.750, 0.750)
Ga (0.750, 0.250, 0.750)
Ga (0.750, 0.750, 0.250)

No. 5
Simulated powder diffractogram of SrZnAu for a wavelength of 1.5418 Å, from the GGA-PBE geometry in Alexandria.
Neutral-atom scattering factors, no anomalous dispersion.

Main lines, in order of falling intensity (5 to 70 degrees two-theta):
2.896 Å, I = 100
2.302 Å, I = 44
4.208 Å, I = 27
1.553 Å, I = 26
2.310 Å, I = 23
1.805 Å, I = 20
2.104 Å, I = 17
4.621 Å, I = 16
2.019 Å, I = 15
1.556 Å, I = 13

Cell and atoms:
Unit cell a=4.208 b=4.621 c=7.963 alpha=90.00 beta=90.00 gamma=90.00
Atoms (fractional coordinates):
Sr (0.000, 0.000, 0.000)
Sr (0.000, 0.500, 0.500)
Zn (0.500, 0.000, 0.337)
Zn (0.500, 0.000, 0.663)
Au (0.500, 0.500, 0.178)
Au (0.500, 0.500, 0.822)

No. 6
Simulated powder diffractogram of Sm2Cu2Au for a wavelength of 1.5418 Å, from the GGA-PBE geometry in Alexandria.
Neutral-atom scattering factors, no anomalous dispersion.

Main lines, in order of falling intensity (5 to 70 degrees two-theta):
2.677 Å, I = 100
2.518 Å, I = 94
2.350 Å, I = 63
2.627 Å, I = 30
1.491 Å, I = 30
3.110 Å, I = 28
1.595 Å, I = 24
1.930 Å, I = 24
1.363 Å, I = 23
1.633 Å, I = 17

Cell and atoms:
Unit cell a=7.431 b=7.431 c=7.719 alpha=90.00 beta=90.00 gamma=90.00
Atoms (fractional coordinates):
Sm (0.180, 0.320, 0.000)
Sm (0.180, 0.320, 0.500)
Sm (0.320, 0.820, 0.000)
Sm (0.320, 0.820, 0.500)
Sm (0.680, 0.180, 0.000)
Sm (0.680, 0.180, 0.500)
Sm (0.820, 0.680, 0.000)
Sm (0.820, 0.680, 0.500)
Cu (0.118, 0.618, 0.250)
Cu (0.118, 0.618, 0.750)
Cu (0.382, 0.118, 0.250)
Cu (0.382, 0.118, 0.750)
Cu (0.618, 0.882, 0.250)
Cu (0.618, 0.882, 0.750)
Cu (0.882, 0.382, 0.250)
Cu (0.882, 0.382, 0.750)
Au (0.000, 0.000, 0.249)
Au (0.000, 0.000, 0.751)
Au (0.500, 0.500, 0.251)
Au (0.500, 0.500, 0.749)